For PmZn3Cr4O12, the GGA+U geometry in Alexandria gives the calculated PXRD pattern in this record (Cu Kα).
Peak positions follow from Bragg's law for the DFT cell and can differ from measured ones.

Principal peaks in the range 10 to 80 degrees two-theta, in order of rising 2θ:
| d/Å | Rel. int. |
| --- | --- |
| 5.275 | 12 |
| 3.730 | 5 |
| 3.046 | 4 |
| 2.638 | 100 |
| 2.359 | 8 |
| 2.154 | 9 |
| 1.994 | 9 |
| 1.865 | 28 |
| 1.523 | 46 |
| 1.319 | 13 |

Crystal structure
abc: 7.4602 7.4602 7.4602
angles: 90.00 90.00 90.00
Space group Im-3 (No. 204)
Unique sites:
Pm  0.0000  0.0000  0.0000 (multiplicity 2)
Zn  0.0000  0.0000  0.5000 (multiplicity 6)
Cr  0.2500  0.2500  0.2500 (multiplicity 8)
O  0.0000  0.2965  0.1829 (multiplicity 24)